Entry 1:
Starting from the PBE geometry in Alexandria, the X-ray powder pattern of KRb2Sr was simulated for a wavelength of 1.5418 Å.
No peak broadening, texture or thermal motion is included.

Largest 10 diffraction maxima, by angle, 2θ = 10–80°:
| 2θ/deg | d_spacing | intensity | (hkl) |
| --- | --- | --- | --- |
| 22.6 | 3.940 | 29 | 0 0 4 |
| 23.8 | 3.742 | 26 | 0 2 0 |
| 24.3 | 3.668 | 100 | 1 1 2 |
| 33.0 | 2.713 | 22 | 0 2 4 |
| 40.7 | 2.219 | 24 | 1 1 6 |
| 42.1 | 2.146 | 22 | 1 3 2 |
| 43.0 | 2.104 | 10 | 2 0 4 |
| 49.7 | 1.834 | 13 | 2 2 4 |
| 53.9 | 1.700 | 10 | 1 3 6 |
| 58.2 | 1.586 | 10 | 3 1 2 |

Structural model:
a b c (Å): 4.977 7.483 15.760
angles (deg): 90.00 90.00 90.00
Space group Cmmm (No. 65)
One atom of each set of equivalent atoms:
K1 0.000 0.000 0.000 (multiplicity 2)
Rb1 0.000 0.500 0.258 (multiplicity 4)
Sr1 0.000 0.000 0.500 (multiplicity 2)

=====

Entry 2:
Starting from the PBE geometry in Alexandria, the X-ray powder pattern of K2RbTe6 was simulated for a wavelength of 1.5418 Å.
No peak broadening, texture or thermal motion is included.

Largest 10 diffraction maxima, by angle, 2θ = 10–80°:
| 2θ/deg | d_spacing | intensity | (hkl) |
| --- | --- | --- | --- |
| 15.4 | 5.772 | 100 | 0 2 0 |
| 27.4 | 3.252 | 24 | 2 0 1 |
| 27.7 | 3.215 | 24 | 4 0 -1 |
| 31.0 | 2.886 | 46 | 0 4 0 |
| 31.6 | 2.834 | 84 | 2 2 1 |
| 31.9 | 2.809 | 83 | 4 2 -1 |
| 39.9 | 2.262 | 23 | 6 0 0 |
| 42.1 | 2.147 | 29 | 4 4 -1 |
| 50.6 | 1.804 | 21 | 2 4 -2 |
| 51.3 | 1.780 | 22 | 6 4 0 |

Structural model:
a b c (Å): 14.287 11.545 4.624
angles (deg): 90.00 108.22 90.00
Space group Cm (No. 8)
One atom of each set of equivalent atoms:
K1 0.000 0.000 0.000 (multiplicity 2)
K2 0.166 0.500 0.573 (multiplicity 2)
Rb1 0.333 0.000 0.291 (multiplicity 2)
Te1 0.001 0.245 0.496 (multiplicity 4)
Te2 0.165 0.255 0.077 (multiplicity 4)
Te3 0.333 0.256 0.790 (multiplicity 4)

=====

Entry 3:
Starting from the PBE geometry in Alexandria, the X-ray powder pattern of KRb5Te3 was simulated for a wavelength of 1.5418 Å.
No peak broadening, texture or thermal motion is included.

Largest 10 diffraction maxima, by angle, 2θ = 10–80°:
| 2θ/deg | d_spacing | intensity | (hkl) |
| --- | --- | --- | --- |
| 18.0 | 4.929 | 44 | 1 1 -2 |
| 29.6 | 3.019 | 100 | 2 0 -4 |
| 34.9 | 2.574 | 25 | 3 3 0 |
| 42.3 | 2.134 | 18 | 4 0 4 |
| 46.4 | 1.958 | 9 | 1 3 4 |
| 52.5 | 1.743 | 39 | 0 2 6 |
| 55.9 | 1.644 | 6 | 9 3 0 |
| 61.4 | 1.509 | 12 | 4 0 -8 |
| 69.6 | 1.351 | 11 | 2 0 8 |
| 69.7 | 1.349 | 5 | 2 6 2 |

Structural model:
a b c (Å): 19.106 8.527 12.078
angles (deg): 90.00 108.42 90.00
Space group C2/c (No. 15)
One atom of each set of equivalent atoms:
K1 0.000 0.246 0.250 (multiplicity 4)
Rb1 0.000 0.253 0.750 (multiplicity 4)
Rb2 0.166 0.251 0.584 (multiplicity 8)
Rb3 0.167 0.247 0.083 (multiplicity 8)
Te1 0.000 0.000 0.000 (multiplicity 4)
Te2 0.164 0.494 0.332 (multiplicity 8)

=====

Entry 4:
Starting from the PBE geometry in Alexandria, the X-ray powder pattern of K2RbTe6 was simulated for a wavelength of 1.5418 Å.
No peak broadening, texture or thermal motion is included.

Largest 10 diffraction maxima, by angle, 2θ = 10–80°:
| 2θ/deg | d_spacing | intensity | (hkl) |
| --- | --- | --- | --- |
| 16.5 | 5.362 | 70 | 0 2 0 |
| 21.3 | 4.162 | 30 | 2 0 -1 |
| 27.1 | 3.288 | 100 | 0 2 1 |
| 30.1 | 2.966 | 35 | 3 3 0 |
| 33.4 | 2.681 | 23 | 0 4 0 |
| 33.7 | 2.656 | 30 | 6 0 0 |
| 35.0 | 2.563 | 27 | 4 0 1 |
| 39.0 | 2.312 | 49 | 4 2 1 |
| 48.3 | 1.886 | 21 | 6 4 0 |
| 48.8 | 1.867 | 23 | 1 5 1 |

Structural model:
a b c (Å): 16.507 10.723 4.311
angles (deg): 90.00 105.12 90.00
Space group Cm (No. 8)
One atom of each set of equivalent atoms:
K1 0.000 0.000 0.000 (multiplicity 2)
K2 0.225 0.500 0.726 (multiplicity 2)
Rb1 0.363 0.000 0.866 (multiplicity 2)
Te1 0.041 0.271 0.541 (multiplicity 4)
Te2 0.184 0.229 0.184 (multiplicity 4)
Te3 0.362 0.296 0.363 (multiplicity 4)

=====

Entry 5:
Starting from the PBE geometry in Alexandria, the X-ray powder pattern of K3RbTe4 was simulated for a wavelength of 1.5418 Å.
No peak broadening, texture or thermal motion is included.

Largest 10 diffraction maxima, by angle, 2θ = 10–80°:
| 2θ/deg | d_spacing | intensity | (hkl) |
| --- | --- | --- | --- |
| 17.4 | 5.093 | 42 | 0 0 4 |
| 17.8 | 4.990 | 100 | 1 0 1 |
| 21.7 | 4.102 | 39 | 1 0 3 |
| 23.0 | 3.864 | 39 | 1 1 2 |
| 27.6 | 3.230 | 35 | 1 1 4 |
| 30.6 | 2.925 | 61 | 0 2 4 |
| 33.3 | 2.694 | 59 | 1 2 3 |
| 34.9 | 2.573 | 36 | 2 0 0 |
| 35.4 | 2.533 | 42 | 1 0 7 |
| 47.0 | 1.932 | 36 | 2 2 4 |

Structural model:
a b c (Å): 5.147 7.147 20.374
angles (deg): 90.00 90.00 90.00
Space group Immm (No. 71)
One atom of each set of equivalent atoms:
K1 0.000 0.000 0.000 (multiplicity 2)
K2 0.000 0.500 0.207 (multiplicity 4)
Rb1 0.000 0.000 0.500 (multiplicity 2)
Te1 0.000 0.305 0.369 (multiplicity 8)

=====

Entry 6:
Starting from the PBE geometry in Alexandria, the X-ray powder pattern of KRbZnTe2 was simulated for a wavelength of 1.5418 Å.
No peak broadening, texture or thermal motion is included.

Largest 10 diffraction maxima, by angle, 2θ = 10–80°:
| 2θ/deg | d_spacing | intensity | (hkl) |
| --- | --- | --- | --- |
| 11.7 | 7.557 | 37 | 0 0 1 |
| 19.1 | 4.639 | 17 | 1 0 1 |
| 21.7 | 4.096 | 16 | 1 1 1 |
| 28.1 | 3.177 | 100 | 1 2 1 |
| 30.4 | 2.938 | 16 | 2 0 0 |
| 34.9 | 2.568 | 13 | 1 2 2 |
| 38.8 | 2.319 | 29 | 2 0 2 |
| 41.4 | 2.181 | 18 | 0 4 0 |
| 52.6 | 1.739 | 17 | 3 2 1 |
| 55.2 | 1.663 | 14 | 1 2 4 |

Structural model:
a b c (Å): 5.877 8.721 7.557
angles (deg): 90.00 90.00 90.00
Space group Pmma (No. 51)
One atom of each set of equivalent atoms:
K1 0.250 0.000 0.102 (multiplicity 2)
Rb1 0.250 0.500 0.303 (multiplicity 2)
Zn1 0.000 0.000 0.500 (multiplicity 2)
Te1 0.250 0.220 0.695 (multiplicity 4)

=====

Entry 7:
Starting from the PBE geometry in Alexandria, the X-ray powder pattern of K6Rb4Tl was simulated for a wavelength of 1.5418 Å.
No peak broadening, texture or thermal motion is included.

Largest 10 diffraction maxima, by angle, 2θ = 10–80°:
| 2θ/deg | d_spacing | intensity | (hkl) |
| --- | --- | --- | --- |
| 10.7 | 8.306 | 68 | 1 0 1 |
| 18.3 | 4.846 | 29 | 1 1 2 |
| 22.8 | 3.902 | 100 | 2 1 2 |
| 23.3 | 3.810 | 29 | 1 0 3 |
| 24.7 | 3.605 | 83 | 3 1 0 |
| 28.2 | 3.167 | 26 | 2 1 3 |
| 29.5 | 3.032 | 22 | 0 0 4 |
| 35.2 | 2.549 | 19 | 4 2 0 |
| 36.1 | 2.491 | 22 | 3 2 3 |
| 38.8 | 2.320 | 36 | 3 1 4 |

Structural model:
a b c (Å): 11.400 11.400 12.128
angles (deg): 90.00 90.00 90.00
Space group P4/mnc (No. 128)
One atom of each set of equivalent atoms:
K1 0.000 0.000 0.188 (multiplicity 4)
K2 0.132 0.304 0.500 (multiplicity 8)
Rb1 0.145 0.645 0.250 (multiplicity 8)
Tl1 0.000 0.000 0.500 (multiplicity 2)

=====

Entry 8:
Starting from the PBE geometry in Alexandria, the X-ray powder pattern of KRbTl was simulated for a wavelength of 1.5418 Å.
No peak broadening, texture or thermal motion is included.

Largest 10 diffraction maxima, by angle, 2θ = 10–80°:
| 2θ/deg | d_spacing | intensity | (hkl) |
| --- | --- | --- | --- |
| 13.3 | 6.667 | 100 | 0 1 1 |
| 24.7 | 3.609 | 35 | 1 2 1 |
| 26.7 | 3.334 | 39 | 0 2 2 |
| 28.9 | 3.092 | 64 | 2 1 1 |
| 29.9 | 2.988 | 38 | 0 3 1 |
| 30.0 | 2.975 | 37 | 0 1 3 |
| 31.9 | 2.805 | 64 | 2 0 2 |
| 37.3 | 2.411 | 17 | 2 2 2 |
| 48.6 | 1.875 | 30 | 2 3 3 |
| 61.6 | 1.506 | 20 | 4 3 1 |

Structural model:
a b c (Å): 6.981 9.455 9.402
angles (deg): 90.00 90.00 90.00
Space group Ima2 (No. 46)
One atom of each set of equivalent atoms:
K1 0.250 0.172 0.000 (multiplicity 4)
Rb1 0.250 0.665 0.838 (multiplicity 4)
Tl1 0.000 0.000 0.678 (multiplicity 4)